Calculated X-ray powder pattern
Compound: Li3Cr4PbO12
Radiation: a wavelength of 1.5418 Å
Structure: a structure optimized by DFT (GGA+U)
Peak positions follow from Bragg's law for the DFT cell and can differ from measured ones.

Principal peaks in the range 2θ = 5–70°, in order of rising 2θ:
two_theta, d_spacing, Rel. int., index
17.00, 5.215, 100, 1 1 0
29.67, 3.011, 49, 2 1 1
34.39, 2.608, 68, 2 2 0
38.60, 2.332, 38, 3 0 1
46.05, 1.971, 45, 3 1 2
61.60, 1.505, 35, 4 2 2

Cell and atoms:
```
data_Li3Cr4PbO12
_chemical_formula_sum 'Li6 Cr8 Pb2 O24'
_cell_length_a 7.3754
_cell_length_b 7.3754
_cell_length_c 7.3754
_cell_angle_alpha 90.00
_cell_angle_beta 90.00
_cell_angle_gamma 90.00
_space_group_name_H-M_alt 'I m -3'
_space_group_IT_number 204
_space_group_name_Hall '-I 2 2 3'
loop_
_atom_site_label
_atom_site_fract_x
_atom_site_fract_y
_atom_site_fract_z
Li1 0.0000 0.0000 0.5000
Cr1 0.2500 0.2500 0.2500
Pb1 0.0000 0.0000 0.0000
O1 0.0000 0.3006 0.1877
```